(1)
Diffraction record for Sc5Ag2. The powder X-ray diffraction pattern is computed, not measured: it uses the GGA-PBE geometry in Alexandria and CuKα.
Kinematic intensities with the Lorentz-polarization factor, no thermal factor.

Principal peaks in the range 2θ from 5° to 70°, in order of rising 2θ:
2theta, I (rel.)
22.7, 100
25.1, 20
28.1, 19
31.6, 26
34.1, 20
36.2, 78
38.0, 88
38.4, 76
42.8, 32
43.6, 42

Crystal structure
Lattice parameters (Å, degrees): 8.519 8.519 8.519 132.01 67.02 136.15
Fractional positions:
Sc  0.023  0.250  0.773
Sc  0.089  0.654  0.743
Sc  0.250  0.250  0.000
Sc  0.411  0.154  0.564
Sc  0.477  0.250  0.227
Sc  0.523  0.750  0.773
Sc  0.589  0.846  0.436
Sc  0.750  0.750  0.000
Sc  0.911  0.346  0.257
Sc  0.977  0.750  0.227
Ag  0.122  0.264  0.385
Ag  0.378  0.764  0.142
Ag  0.622  0.236  0.858
Ag  0.878  0.736  0.615



(2)
Diffraction record for Sc5Ag4. The powder X-ray diffraction pattern is computed, not measured: it uses the GGA-PBE geometry in Alexandria and CuKα.
Kinematic intensities with the Lorentz-polarization factor, no thermal factor.

Principal peaks in the range 2θ from 5° to 70°, in order of rising 2θ:
2theta, I (rel.)
24.0, 22
25.6, 35
29.9, 12
35.3, 36
36.3, 94
36.7, 100
46.7, 23
52.6, 24
65.6, 21
68.7, 14

Crystal structure
Lattice parameters (Å, degrees): 8.571 8.571 5.976 90.00 90.00 120.00
Fractional positions:
Sc  0.000  0.295  0.250
Sc  0.000  0.705  0.750
Sc  0.295  0.000  0.250
Sc  0.295  0.295  0.750
Sc  0.333  0.667  0.000
Sc  0.333  0.667  0.500
Sc  0.667  0.333  0.000
Sc  0.667  0.333  0.500
Sc  0.705  0.000  0.750
Sc  0.705  0.705  0.250
Ag  0.000  0.000  0.000
Ag  0.000  0.000  0.500
Ag  0.000  0.379  0.750
Ag  0.000  0.621  0.250
Ag  0.379  0.000  0.750
Ag  0.379  0.379  0.250
Ag  0.621  0.000  0.250
Ag  0.621  0.621  0.750